This entry pairs a crystal structure of NdP2H2CO6 with its computed powder XRD pattern. Radiation: Cu Kα. Structure: a crystal structure in Alexandria, relaxed with PBE.
Lines closer than 0.1° are merged.

Structural model:
Cell lengths 8.2799, 8.2799, 5.3264 Å; angles 99.70, 99.70, 120.26 degrees
Atoms (fractional coordinates):
Nd 0.2280 0.7720 0.0000
Nd 0.7720 0.2280 0.0000
P 0.1491 0.3714 0.6199
P 0.3714 0.1491 0.6199
P 0.6286 0.8509 0.3801
P 0.8509 0.6286 0.3801
H 0.0969 0.0969 0.7559
H 0.3140 0.3140 0.9700
H 0.6860 0.6860 0.0300
H 0.9031 0.9031 0.2441
C 0.2313 0.2313 0.7586
C 0.7687 0.7687 0.2414
O 0.0279 0.3986 0.7973
O 0.0342 0.2690 0.3270
O 0.2690 0.0342 0.3270
O 0.3259 0.5892 0.6864
O 0.3986 0.0279 0.7973
O 0.4108 0.6741 0.3136
O 0.5892 0.3259 0.6864
O 0.6014 0.9721 0.2027
O 0.6741 0.4108 0.3136
O 0.7310 0.9658 0.6730
O 0.9658 0.7310 0.6730
O 0.9721 0.6014 0.2027

Most intense lines, 10 to 90 degrees two-theta, sorted by position:
2θ/deg	Rel. int.
12.33	100
21.62	72
23.78	53
26.10	41
26.87	25
30.63	63
34.02	23
35.96	20
37.66	18
43.76	17